Starting from DFT lattice parameters and positions (PBE), the powder X-ray diffraction pattern of Sm2Er7 was computed for copper Kα.

Peak list (6 most intense, 2θ from 10° to 90°, sorted by position)
2θ = 31.0°, I = 1000; 2θ = 36.0°, I = 507; 2θ = 51.8°, I = 360; 2θ = 61.6°, I = 428; 2θ = 84.6°, I = 179; 2θ = 87.3°, I = 167

Cell and atoms:
Cell: 6.117 6.117 8.646 Å, 90.00 90.00 120.00°
Sites, in units of the cell vectors:
Sm 0.333 0.667 0.000
Sm 0.667 0.333 0.000
Er 0.000 0.000 0.000
Er 0.000 0.333 0.664
Er 0.000 0.667 0.336
Er 0.333 0.000 0.664
Er 0.333 0.333 0.336
Er 0.667 0.000 0.336
Er 0.667 0.667 0.664

Starting from DFT lattice parameters and positions (PBE), the powder X-ray diffraction pattern of Sm2ErSn3 was computed for copper Kα.

Peak list (6 most intense, 2θ from 10° to 90°, sorted by position)
2θ = 28.4°, I = 573; 2θ = 29.8°, I = 1000; 2θ = 34.6°, I = 343; 2θ = 41.6°, I = 815; 2θ = 45.4°, I = 325; 2θ = 66.8°, I = 205

Cell and atoms:
Cell: 6.860 6.860 6.860 Å, 135.61 125.49 72.84°
Sites, in units of the cell vectors:
Sm 0.171 0.171 0.000
Sm 0.829 0.829 0.000
Er 0.500 0.500 0.000
Sn 0.000 0.500 0.500
Sn 0.345 0.845 0.500
Sn 0.655 0.155 0.500

Starting from DFT lattice parameters and positions (PBE), the powder X-ray diffraction pattern of Sm3ErSn3 was computed for copper Kα.

Peak list (6 most intense, 2θ from 10° to 90°, sorted by position)
2θ = 18.7°, I = 249; 2θ = 28.7°, I = 582; 2θ = 32.6°, I = 1000; 2θ = 44.0°, I = 886; 2θ = 66.1°, I = 219; 2θ = 69.4°, I = 239

Cell and atoms:
Cell: 9.513 9.513 6.222 Å, 90.00 90.00 120.00°
Sites, in units of the cell vectors:
Sm 0.027 0.334 0.250
Sm 0.307 0.973 0.250
Sm 0.334 0.307 0.750
Sm 0.666 0.693 0.250
Sm 0.693 0.027 0.750
Sm 0.973 0.666 0.750
Er 0.333 0.667 0.750
Er 0.667 0.333 0.250
Sn 0.011 0.349 0.750
Sn 0.338 0.989 0.750
Sn 0.349 0.338 0.250
Sn 0.651 0.662 0.750
Sn 0.662 0.011 0.250
Sn 0.989 0.651 0.250

Starting from DFT lattice parameters and positions (PBE), the powder X-ray diffraction pattern of Tb2Sm3Er9 was computed for copper Kα.

Peak list (6 most intense, 2θ from 10° to 90°, sorted by position)
2θ = 31.5°, I = 486; 2θ = 31.6°, I = 1000; 2θ = 31.9°, I = 501; 2θ = 33.5°, I = 290; 2θ = 33.7°, I = 296; 2θ = 34.6°, I = 362

Cell and atoms:
Cell: 6.249 8.629 8.761 Å, 79.83 76.19 86.84°
Sites, in units of the cell vectors:
Tb 0.000 0.000 0.000
Tb 0.113 0.072 0.598
Sm 0.302 0.664 0.033
Sm 0.481 0.015 0.235
Sm 0.795 0.419 0.578
Er 0.020 0.274 0.222
Er 0.032 0.789 0.396
Er 0.203 0.371 0.811
Er 0.353 0.418 0.401
Er 0.455 0.732 0.594
Er 0.555 0.043 0.801
Er 0.640 0.353 0.995
Er 0.745 0.645 0.199
Er 0.889 0.707 0.798

Starting from DFT lattice parameters and positions (PBE), the powder X-ray diffraction pattern of Tb3Sm3Er was computed for copper Kα.

Peak list (6 most intense, 2θ from 10° to 90°, sorted by position)
2θ = 28.4°, I = 237; 2θ = 31.2°, I = 247; 2θ = 32.4°, I = 1000; 2θ = 50.2°, I = 196; 2θ = 56.3°, I = 210; 2θ = 60.3°, I = 227

Cell and atoms:
Cell: 9.615 9.615 5.737 Å, 90.00 90.00 120.00°
Sites, in units of the cell vectors:
Tb 0.095 0.477 0.250
Tb 0.382 0.905 0.250
Tb 0.477 0.382 0.750
Tb 0.523 0.618 0.250
Tb 0.618 0.095 0.750
Tb 0.905 0.523 0.750
Sm 0.048 0.241 0.750
Sm 0.193 0.952 0.750
Sm 0.241 0.193 0.250
Sm 0.759 0.807 0.750
Sm 0.807 0.048 0.250
Sm 0.952 0.759 0.250
Er 0.333 0.667 0.750
Er 0.667 0.333 0.250

Starting from DFT lattice parameters and positions (PBE), the powder X-ray diffraction pattern of TbSm3Er6 was computed for copper Kα.

Peak list (6 most intense, 2θ from 10° to 90°, sorted by position)
2θ = 29.3°, I = 1000; 2θ = 30.7°, I = 377; 2θ = 31.9°, I = 428; 2θ = 34.2°, I = 371; 2θ = 34.4°, I = 411; 2θ = 34.6°, I = 361

Cell and atoms:
Cell: 6.485 6.499 9.485 Å, 90.04 109.61 119.73°
Sites, in units of the cell vectors:
Tb 0.000 0.000 0.000
Sm 0.000 0.500 0.500
Sm 0.300 0.942 0.809
Sm 0.700 0.058 0.191
Er 0.127 0.634 0.187
Er 0.304 0.151 0.450
Er 0.449 0.510 0.813
Er 0.551 0.490 0.187
Er 0.696 0.849 0.550
Er 0.873 0.366 0.813

Starting from DFT lattice parameters and positions (PBE), the powder X-ray diffraction pattern of Tb3Sm7Er2 was computed for copper Kα.

Peak list (6 most intense, 2θ from 10° to 90°, sorted by position)
2θ = 30.1°, I = 527; 2θ = 31.0°, I = 858; 2θ = 31.5°, I = 1000; 2θ = 33.6°, I = 368; 2θ = 34.3°, I = 293; 2θ = 50.5°, I = 242

Cell and atoms:
Cell: 19.273 19.273 3.610 Å, 90.00 90.00 162.80°
Sites, in units of the cell vectors:
Tb 0.000 0.000 0.000
Tb 0.185 0.815 0.000
Tb 0.815 0.185 0.000
Sm 0.093 0.907 0.500
Sm 0.268 0.732 0.500
Sm 0.427 0.573 0.000
Sm 0.500 0.500 0.500
Sm 0.573 0.427 0.000
Sm 0.732 0.268 0.500
Sm 0.907 0.093 0.500
Er 0.352 0.648 0.500
Er 0.648 0.352 0.500

Starting from DFT lattice parameters and positions (PBE), the powder X-ray diffraction pattern of Tb6Sm2Er3 was computed for copper Kα.

Peak list (6 most intense, 2θ from 10° to 90°, sorted by position)
2θ = 28.8°, I = 1000; 2θ = 34.5°, I = 760; 2θ = 38.1°, I = 605; 2θ = 50.8°, I = 254; 2θ = 62.5°, I = 249; 2θ = 66.5°, I = 226

Cell and atoms:
Cell: 16.928 16.928 16.928 Å, 163.95 163.95 22.77°
Sites, in units of the cell vectors:
Tb 0.122 0.622 0.500
Tb 0.197 0.197 0.000
Tb 0.378 0.878 0.500
Tb 0.622 0.122 0.500
Tb 0.803 0.803 0.000
Tb 0.878 0.378 0.500
Sm 0.046 0.046 0.000
Sm 0.954 0.954 0.000
Er 0.300 0.300 0.000
Er 0.500 0.500 0.000
Er 0.700 0.700 0.000

Starting from DFT lattice parameters and positions (PBE), the powder X-ray diffraction pattern of Tb2SmEr7 was computed for copper Kα.

Peak list (6 most intense, 2θ from 10° to 90°, sorted by position)
2θ = 31.1°, I = 314; 2θ = 32.7°, I = 251; 2θ = 33.6°, I = 1000; 2θ = 45.7°, I = 198; 2θ = 57.0°, I = 223; 2θ = 58.9°, I = 165

Cell and atoms:
Cell: 10.196 10.196 10.196 Å, 159.69 111.38 72.40°
Sites, in units of the cell vectors:
Tb 0.173 0.173 0.000
Tb 0.827 0.827 0.000
Sm 0.000 0.500 0.500
Er 0.098 0.346 0.752
Er 0.333 0.833 0.500
Er 0.407 0.654 0.752
Er 0.500 0.500 0.000
Er 0.593 0.346 0.248
Er 0.667 0.167 0.500
Er 0.902 0.654 0.248

Starting from DFT lattice parameters and positions (PBE), the powder X-ray diffraction pattern of Tb2Sm7Er4 was computed for copper Kα.

Peak list (6 most intense, 2θ from 10° to 90°, sorted by position)
2θ = 30.6°, I = 1000; 2θ = 35.5°, I = 506; 2θ = 51.0°, I = 301; 2θ = 60.7°, I = 287; 2θ = 60.7°, I = 143; 2θ = 83.1°, I = 89

Cell and atoms:
Cell: 6.195 8.004 9.470 Å, 65.02 83.90 82.68°
Sites, in units of the cell vectors:
Tb 0.155 0.192 0.384
Tb 0.845 0.808 0.616
Sm 0.000 0.500 0.000
Sm 0.076 0.346 0.693
Sm 0.231 0.039 0.077
Sm 0.386 0.732 0.462
Sm 0.614 0.268 0.538
Sm 0.769 0.961 0.923
Sm 0.924 0.654 0.307
Er 0.307 0.883 0.770
Er 0.462 0.575 0.153
Er 0.538 0.425 0.847
Er 0.693 0.117 0.230

Starting from DFT lattice parameters and positions (PBE), the powder X-ray diffraction pattern of Tb3SmEr2 was computed for copper Kα.

Peak list (6 most intense, 2θ from 10° to 90°, sorted by position)
2θ = 30.8°, I = 1000; 2θ = 35.8°, I = 506; 2θ = 51.5°, I = 360; 2θ = 61.2°, I = 321; 2θ = 64.2°, I = 123; 2θ = 84.0°, I = 119

Cell and atoms:
Cell: 9.402 9.402 6.147 Å, 90.08 90.08 44.39°
Sites, in units of the cell vectors:
Tb 0.124 0.876 0.750
Tb 0.207 0.458 0.584
Tb 0.458 0.207 0.084
Tb 0.542 0.793 0.916
Tb 0.793 0.542 0.416
Tb 0.876 0.124 0.250
Sm 0.375 0.625 0.250
Sm 0.625 0.375 0.750
Er 0.043 0.292 0.917
Er 0.292 0.043 0.417
Er 0.708 0.957 0.583
Er 0.957 0.708 0.083

Starting from DFT lattice parameters and positions (PBE), the powder X-ray diffraction pattern of Tb6Sm8Er was computed for copper Kα.

Peak list (6 most intense, 2θ from 10° to 90°, sorted by position)
2θ = 30.2°, I = 230; 2θ = 31.2°, I = 1000; 2θ = 32.2°, I = 297; 2θ = 34.7°, I = 124; 2θ = 36.5°, I = 138; 2θ = 54.9°, I = 121

Cell and atoms:
Cell: 8.701 8.701 8.701 Å, 63.21 63.21 63.21°
Sites, in units of the cell vectors:
Tb 0.040 0.600 0.740
Tb 0.260 0.960 0.400
Tb 0.400 0.260 0.960
Tb 0.600 0.740 0.040
Tb 0.740 0.040 0.600
Tb 0.960 0.400 0.260
Sm 0.077 0.077 0.077
Sm 0.219 0.612 0.248
Sm 0.248 0.219 0.612
Sm 0.388 0.752 0.781
Sm 0.612 0.248 0.219
Sm 0.752 0.781 0.388
Sm 0.781 0.388 0.752
Sm 0.923 0.923 0.923
Er 0.500 0.500 0.500